No. 1
This entry pairs a crystal structure of TmTaPd6 with its theoretical powder X-ray diffraction pattern. Radiation: Cu Kα, 1.54184 Å. Structure: a GGA-PBE-relaxed structure.
Lines closer than 0.1° are merged.

Most intense lines, 10 to 80 degrees two-theta, in order of falling intensity:
2.325 Å, intensity 100, hkl 1 1 2; 2.012 Å, intensity 33, hkl 2 0 0; 1.213 Å, intensity 25, hkl 3 1 2; 1.425 Å, intensity 20, hkl 2 0 4; 2.018 Å, intensity 16, hkl 0 0 4; 1.216 Å, intensity 11, hkl 1 1 6; 1.422 Å, intensity 11, hkl 2 2 0; 4.027 Å, intensity 5, hkl 0 0 2; 2.848 Å, intensity 4, hkl 1 1 0; 1.644 Å, intensity 2, hkl 1 1 4

Cell and atoms:
```
data_TmTaPd6
_cell_length_a 4.023
_cell_length_b 4.023
_cell_length_c 8.070
_cell_angle_alpha 90.00
_cell_angle_beta 90.00
_cell_angle_gamma 90.00
_symmetry_space_group_name_H-M 'P 4/m m m'
_symmetry_Int_Tables_number 123
_symmetry_space_group_name_Hall '-P 4 2'
loop_
_atom_site_label
_atom_site_type_symbol
_atom_site_fract_x
_atom_site_fract_y
_atom_site_fract_z
_atom_site_occupancy
Tm1 Tm 0.000 0.000 0.000 1
Ta1 Ta 0.000 0.000 0.500 1
Pd1 Pd 0.000 0.500 0.264 1
Pd2 Pd 0.500 0.500 0.000 1
Pd3 Pd 0.500 0.500 0.500 1
```



No. 2
This entry pairs a crystal structure of Rb4La3PrTe8 with its theoretical powder X-ray diffraction pattern. Radiation: Cu Kα, 1.54184 Å. Structure: a GGA-PBE-relaxed structure.
Lines closer than 0.1° are merged.

Most intense lines, 10 to 80 degrees two-theta, in order of falling intensity:
3.451 Å, intensity 100, hkl 0 2 4; 2.364 Å, intensity 38, hkl 2 2 0; 2.524 Å, intensity 35, hkl 2 0 8; 1.950 Å, intensity 20, hkl 4 0 4; 8.550 Å, intensity 18, hkl 0 0 3; 1.504 Å, intensity 17, hkl 2 4 4; 1.585 Å, intensity 11, hkl 2 2 12; 1.725 Å, intensity 11, hkl 0 4 8; 1.394 Å, intensity 11, hkl 4 2 8; 2.730 Å, intensity 10, hkl 0 2 7

Cell and atoms:
```
data_Rb4La3PrTe8
_cell_length_a 9.4542
_cell_length_b 9.4542
_cell_length_c 25.6507
_cell_angle_alpha 90.00
_cell_angle_beta 90.00
_cell_angle_gamma 120.00
_symmetry_space_group_name_H-M 'R -3 m'
_symmetry_Int_Tables_number 166
_symmetry_space_group_name_Hall '-R 3 2"'
loop_
_atom_site_label
_atom_site_type_symbol
_atom_site_fract_x
_atom_site_fract_y
_atom_site_fract_z
_atom_site_occupancy
Rb1 Rb 0.0000 0.0000 0.0000 1
Rb2 Rb 0.0000 0.5000 0.0000 1
La1 La 0.0000 0.5000 0.5000 1
Pr1 Pr 0.0000 0.0000 0.5000 1
Te1 Te 0.0000 0.0000 0.2355 1
Te2 Te 0.0020 0.5010 0.2354 1
```



No. 3
This entry pairs a crystal structure of SrTlTe with its theoretical powder X-ray diffraction pattern. Radiation: Cu Kα, 1.54184 Å. Structure: a GGA-PBE-relaxed structure.
Lines closer than 0.1° are merged.

Most intense lines, 10 to 80 degrees two-theta, in order of falling intensity:
2.903 Å, intensity 100, hkl 0 6 0; 5.729 Å, intensity 97, hkl 1 1 1; 3.188 Å, intensity 57, hkl 2 0 0; 3.074 Å, intensity 35, hkl 0 2 6; 2.146 Å, intensity 31, hkl 2 6 0; 2.213 Å, intensity 28, hkl 2 2 6; 3.020 Å, intensity 28, hkl 1 5 1; 2.623 Å, intensity 23, hkl 0 4 6; 2.025 Å, intensity 22, hkl 2 4 6; 3.982 Å, intensity 19, hkl 0 4 2

Cell and atoms:
```
data_SrTlTe
_cell_length_a 6.376
_cell_length_b 17.409
_cell_length_c 19.718
_cell_angle_alpha 90.00
_cell_angle_beta 90.00
_cell_angle_gamma 90.00
_symmetry_space_group_name_H-M 'F m m m'
_symmetry_Int_Tables_number 69
_symmetry_space_group_name_Hall '-F 2 2'
loop_
_atom_site_label
_atom_site_type_symbol
_atom_site_fract_x
_atom_site_fract_y
_atom_site_fract_z
_atom_site_occupancy
Sr1 Sr 0.000 0.164 0.155 1
Tl1 Tl 0.000 0.000 0.423 1
Tl2 Tl 0.000 0.184 0.500 1
Te1 Te 0.000 0.151 0.322 1
```



No. 4
This entry pairs a crystal structure of RbNa3Ca4Br12 with its theoretical powder X-ray diffraction pattern. Radiation: Cu Kα, 1.54184 Å. Structure: a GGA-PBE-relaxed structure.
Lines closer than 0.1° are merged.

Most intense lines, 10 to 80 degrees two-theta, in order of falling intensity:
3.476 Å, intensity 100, hkl 3 1 0; 2.938 Å, intensity 83, hkl 3 2 1; 1.885 Å, intensity 50, hkl 5 0 3; 1.783 Å, intensity 41, hkl 5 3 2; 2.244 Å, intensity 34, hkl 4 2 2; 3.173 Å, intensity 32, hkl 2 2 2; 2.748 Å, intensity 31, hkl 4 0 0; 1.295 Å, intensity 30, hkl 8 2 2; 1.554 Å, intensity 17, hkl 7 1 0; 1.278 Å, intensity 15, hkl 7 5 0

Cell and atoms:
```
data_RbNa3Ca4Br12
_cell_length_a 10.991
_cell_length_b 10.991
_cell_length_c 10.991
_cell_angle_alpha 90.00
_cell_angle_beta 90.00
_cell_angle_gamma 90.00
_symmetry_space_group_name_H-M 'I m -3'
_symmetry_Int_Tables_number 204
_symmetry_space_group_name_Hall '-I 2 2 3'
loop_
_atom_site_label
_atom_site_type_symbol
_atom_site_fract_x
_atom_site_fract_y
_atom_site_fract_z
_atom_site_occupancy
Rb1 Rb 0.000 0.000 0.000 1
Na1 Na 0.000 0.000 0.500 1
Ca1 Ca 0.250 0.250 0.250 1
Br1 Br 0.000 0.182 0.304 1
```



No. 5
This entry pairs a crystal structure of CaHoCuPt with its theoretical powder X-ray diffraction pattern. Radiation: Cu Kα, 1.54184 Å. Structure: a GGA-PBE-relaxed structure.
Lines closer than 0.1° are merged.

Most intense lines, 10 to 80 degrees two-theta, in order of falling intensity:
2.777 Å, intensity 100, hkl 1 1 1; 5.454 Å, intensity 75, hkl 0 0 2; 2.253 Å, intensity 72, hkl 1 1 3; 2.297 Å, intensity 26, hkl 1 0 4; 2.130 Å, intensity 23, hkl 2 0 0; 2.655 Å, intensity 19, hkl 0 1 3; 2.727 Å, intensity 18, hkl 0 0 4; 1.944 Å, intensity 17, hkl 0 2 0; 1.484 Å, intensity 13, hkl 1 2 4; 1.436 Å, intensity 13, hkl 2 2 0

Cell and atoms:
```
data_CaHoCuPt
_cell_length_a 4.259
_cell_length_b 3.887
_cell_length_c 10.908
_cell_angle_alpha 90.00
_cell_angle_beta 90.00
_cell_angle_gamma 90.00
_symmetry_space_group_name_H-M 'A m m 2'
_symmetry_Int_Tables_number 38
_symmetry_space_group_name_Hall 'A 2 -2'
loop_
_atom_site_label
_atom_site_type_symbol
_atom_site_fract_x
_atom_site_fract_y
_atom_site_fract_z
_atom_site_occupancy
Ca1 Ca 0.000 0.000 0.000 1
Ho1 Ho 0.500 0.000 0.720 1
Cu1 Cu 0.500 0.000 0.425 1
Pt1 Pt 0.000 0.000 0.278 1
```



No. 6
This entry pairs a crystal structure of BaAg7Br12 with its theoretical powder X-ray diffraction pattern. Radiation: Cu Kα, 1.54184 Å. Structure: a GGA-PBE-relaxed structure.
Lines closer than 0.1° are merged.

Most intense lines, 10 to 80 degrees two-theta, in order of falling intensity:
2.133 Å, intensity 100, hkl 4 2 2; 3.695 Å, intensity 71, hkl 2 2 0; 3.305 Å, intensity 56, hkl 3 0 1; 2.613 Å, intensity 53, hkl 4 0 0; 1.232 Å, intensity 42, hkl 6 6 0; 2.793 Å, intensity 42, hkl 3 1 2; 1.792 Å, intensity 29, hkl 5 3 0; 1.397 Å, intensity 25, hkl 6 2 4; 1.653 Å, intensity 21, hkl 6 2 0; 1.848 Å, intensity 19, hkl 4 4 0

Cell and atoms:
```
data_BaAg7Br12
_cell_length_a 10.452
_cell_length_b 10.452
_cell_length_c 10.452
_cell_angle_alpha 90.00
_cell_angle_beta 90.00
_cell_angle_gamma 90.00
_symmetry_space_group_name_H-M 'I m -3'
_symmetry_Int_Tables_number 204
_symmetry_space_group_name_Hall '-I 2 2 3'
loop_
_atom_site_label
_atom_site_type_symbol
_atom_site_fract_x
_atom_site_fract_y
_atom_site_fract_z
_atom_site_occupancy
Ba1 Ba 0.000 0.000 0.000 1
Ag1 Ag 0.000 0.000 0.500 1
Ag2 Ag 0.250 0.250 0.250 1
Br1 Br 0.000 0.304 0.174 1
```